# SrLaMnCoO6
Computed PXRD pattern, CuKα. Input: the GGA+U geometry in the Materials Project.
Lines closer than 0.1° are merged.

Crystal structure
Cell: 5.4810 5.4810 5.4810 Å, 60.00 60.00 60.00°
Fractional positions:
Sr1 0.0000 0.0000 0.0000
La1 0.5000 0.5000 0.5000
Mn1 0.7500 0.7500 0.7500
Co1 0.2500 0.2500 0.2500
O1 0.5010 0.5010 0.9990
O2 0.5010 0.9990 0.5010
O3 0.5010 0.9990 0.9990
O4 0.9990 0.5010 0.5010
O5 0.9990 0.5010 0.9990
O6 0.9990 0.9990 0.5010

Largest 10 diffraction maxima, in order of falling intensity, 2θ = 10–90°:
| d/Å | I (rel.) |
| --- | --- |
| 2.740 | 100 |
| 1.582 | 38 |
| 1.938 | 35 |
| 1.370 | 20 |
| 1.226 | 16 |
| 2.238 | 16 |
| 1.119 | 7 |
| 3.876 | 6 |
| 4.475 | 6 |
| 1.169 | 5 |